Record 1
Structure and computed powder XRD pattern of BaIrF6 (a crystal structure in Alexandria, relaxed with GGA-PBE; Cu Kα).
Kinematic intensities with the Lorentz-polarization factor, no thermal factor.

Atomic structure:
Lattice parameters (Å, degrees): 5.5842 5.6139 6.1756 90.14 116.70 119.74
Element x y z (fractional)
Ba 0.0000 0.0000 0.0000
Ir 0.0000 0.5000 0.5000
F 0.1583 0.4729 0.2795
F 0.1913 0.3147 0.7196
F 0.4031 0.8741 0.7209
F 0.5969 0.1259 0.2791
F 0.8087 0.6853 0.2804
F 0.8417 0.5271 0.7205

Principal peaks in the range 2θ from 10° to 80°, low angle first:
2θ = 21.5°, d 4.139, I = 100; 2θ = 29.0°, d 3.080, I = 16; 2θ = 29.2°, d 3.063, I = 32; 2θ = 31.9°, d 2.809, I = 17; 2θ = 38.9°, d 2.315, I = 15; 2θ = 43.7°, d 2.072, I = 8; 2θ = 47.3°, d 1.922, I = 15; 2θ = 51.0°, d 1.792, I = 10

=====

Record 2
Structure and computed powder XRD pattern of K4BaF6 (a crystal structure in Alexandria, relaxed with GGA-PBE; Cu Kα).
Kinematic intensities with the Lorentz-polarization factor, no thermal factor.

Atomic structure:
Lattice parameters (Å, degrees): 7.9760 7.9760 7.9760 90.49 90.49 90.49
Element x y z (fractional)
K 0.0786 0.7500 0.4214
K 0.2500 0.2500 0.2500
K 0.2500 0.5786 0.9214
K 0.4214 0.0786 0.7500
K 0.5786 0.9214 0.2500
K 0.7500 0.4214 0.0786
K 0.7500 0.7500 0.7500
K 0.9214 0.2500 0.5786
Ba 0.0000 0.0000 0.0000
Ba 0.5000 0.5000 0.5000
F 0.0329 0.9348 0.6872
F 0.0652 0.3128 0.9671
F 0.1872 0.4348 0.5329
F 0.3128 0.9671 0.0652
F 0.4348 0.5329 0.1872
F 0.4671 0.8128 0.5652
F 0.5329 0.1872 0.4348
F 0.5652 0.4671 0.8128
F 0.6872 0.0329 0.9348
F 0.8128 0.5652 0.4671
F 0.9348 0.6872 0.0329
F 0.9671 0.0652 0.3128

Principal peaks in the range 2θ from 10° to 80°, low angle first:
2θ = 15.6°, d 5.664, I = 82; 2θ = 15.8°, d 5.615, I = 43; 2θ = 22.3°, d 3.988, I = 42; 2θ = 27.3°, d 3.269, I = 100; 2θ = 35.7°, d 2.516, I = 71; 2θ = 37.4°, d 2.407, I = 35; 2θ = 42.4°, d 2.130, I = 34; 2θ = 48.2°, d 1.888, I = 33

=====

Record 3
Structure and computed powder XRD pattern of KBaNaF4 (a crystal structure in Alexandria, relaxed with GGA-PBE; Cu Kα).
Kinematic intensities with the Lorentz-polarization factor, no thermal factor.

Atomic structure:
Lattice parameters (Å, degrees): 7.4490 7.4490 6.0808 90.00 90.00 132.73
Element x y z (fractional)
K 0.1070 0.8930 0.7500
K 0.8930 0.1070 0.2500
Ba 0.3786 0.6214 0.7500
Ba 0.6214 0.3786 0.2500
Na 0.2502 0.7498 0.2500
Na 0.7498 0.2502 0.7500
F 0.0000 0.5000 0.0000
F 0.0000 0.5000 0.5000
F 0.0800 0.9200 0.2500
F 0.4308 0.5692 0.2500
F 0.5000 0.0000 0.0000
F 0.5000 0.0000 0.5000
F 0.5692 0.4308 0.7500
F 0.9200 0.0800 0.7500

Principal peaks in the range 2θ from 10° to 80°, low angle first:
2θ = 19.6°, d 4.540, I = 73; 2θ = 21.9°, d 4.068, I = 72; 2θ = 28.7°, d 3.110, I = 100; 2θ = 29.4°, d 3.040, I = 63; 2θ = 29.9°, d 2.987, I = 60; 2θ = 39.2°, d 2.298, I = 59; 2θ = 39.7°, d 2.271, I = 67; 2θ = 42.4°, d 2.131, I = 99